Calculated powder diffractogram
Compound: Dy6Y2Tm
Radiation: Cu Ka
Structure: a PBE-relaxed structure
Peak positions follow from Bragg's law for the DFT cell and can differ from measured ones.

Peak list (12 most intense, 2θ from 15° to 90°, low angle first)
| two_theta | Rel. int. | hkl |
| --- | --- | --- |
| 30.9 | 1000 | 1 1 2 |
| 35.9 | 506 | 0 2 3 |
| 51.6 | 357 | 2 0 1 |
| 61.3 | 72 | 2 3 1 |
| 61.4 | 318 | 1 3 5 |
| 64.4 | 61 | 2 2 4 |
| 64.5 | 61 | 0 6 0 |
| 76.0 | 38 | 0 4 6 |
| 84.2 | 59 | 3 1 3 |
| 84.3 | 88 | 2 5 4 |
| 86.9 | 41 | 3 2 0 |
| 87.0 | 96 | 1 2 8 |

Structural model:
Cell lengths 3.5456, 8.6695, 9.3687 Å; angles 89.98, 79.16, 89.94 degrees
Space group P-1 (No. 2)
Inequivalent atoms, fractional coordinates:
Dy: 0.1125 0.3315 0.2767 (multiplicity 2)
Dy: 0.2223 0.6668 0.0548 (multiplicity 2)
Dy: 0.3334 0.0004 0.8326 (multiplicity 2)
Y: 0.4446 0.3329 0.6107 (multiplicity 2)
Tm: 0.0000 0.0000 0.5000 (multiplicity 1)

=====

Calculated powder diffractogram
Compound: Dy12Y2Tm
Radiation: Cu Ka
Structure: a PBE-relaxed structure
Peak positions follow from Bragg's law for the DFT cell and can differ from measured ones.

Peak list (12 most intense, 2θ from 15° to 90°, low angle first)
| two_theta | Rel. int. | hkl |
| --- | --- | --- |
| 30.2 | 192 | 1 0 -5 |
| 30.7 | 137 | 0 0 8 |
| 31.1 | 282 | 0 1 7 |
| 31.5 | 472 | 0 2 0 |
| 32.3 | 1000 | 1 1 3 |
| 34.1 | 234 | 1 1 -5 |
| 34.6 | 235 | 0 1 8 |
| 44.2 | 136 | 1 2 -5 |
| 50.5 | 127 | 2 0 -1 |
| 56.6 | 203 | 1 3 3 |
| 58.7 | 131 | 1 2 10 |
| 60.8 | 145 | 2 2 -1 |

Structural model:
Cell lengths 3.6133, 5.6740, 23.3822 Å; angles 90.00, 94.42, 90.00 degrees
Space group P2/m (No. 10)
Inequivalent atoms, fractional coordinates:
Dy: 0.0306 0.0000 0.0659 (multiplicity 2)
Dy: 0.0731 0.5000 0.1454 (multiplicity 2)
Dy: 0.1613 0.0000 0.3219 (multiplicity 2)
Dy: 0.2144 0.5000 0.4256 (multiplicity 2)
Dy: 0.2782 0.0000 0.5577 (multiplicity 2)
Dy: 0.4055 0.0000 0.8076 (multiplicity 2)
Y: 0.3566 0.5000 0.7155 (multiplicity 2)
Tm: 0.5000 0.5000 0.0000 (multiplicity 1)

=====

Calculated powder diffractogram
Compound: Dy2Y2Tm3
Radiation: Cu Ka
Structure: a PBE-relaxed structure
Peak positions follow from Bragg's law for the DFT cell and can differ from measured ones.

Peak list (12 most intense, 2θ from 15° to 90°, low angle first)
| two_theta | Rel. int. | hkl |
| --- | --- | --- |
| 27.6 | 591 | 0 0 2 |
| 28.4 | 989 | 1 3 0 |
| 29.2 | 403 | 2 1 0 |
| 31.4 | 420 | 1 1 -2 |
| 31.6 | 994 | 2 1 -1 |
| 32.0 | 834 | 1 3 1 |
| 32.3 | 656 | 0 2 2 |
| 33.1 | 1000 | 2 1 1 |
| 34.6 | 530 | 1 2 -2 |
| 36.0 | 646 | 1 4 0 |
| 38.4 | 323 | 1 4 -1 |
| 53.4 | 349 | 2 1 3 |

Structural model:
Cell lengths 6.3868, 10.8299, 6.4707 Å; angles 90.00, 93.42, 90.00 degrees
Space group P2_1/c (No. 14)
Inequivalent atoms, fractional coordinates:
Dy: 0.0548 0.1505 0.4594 (multiplicity 4)
Y: 0.3791 0.7346 0.7447 (multiplicity 4)
Tm: 0.2469 0.0440 0.9605 (multiplicity 4)
Tm: 0.5000 0.0000 0.5000 (multiplicity 2)

=====

Calculated powder diffractogram
Compound: DyY2Tm2
Radiation: Cu Ka
Structure: a PBE-relaxed structure
Peak positions follow from Bragg's law for the DFT cell and can differ from measured ones.

Peak list (12 most intense, 2θ from 15° to 90°, low angle first)
| two_theta | Rel. int. | hkl |
| --- | --- | --- |
| 17.6 | 27 | 2 1 0 |
| 19.3 | 22 | 0 1 1 |
| 31.0 | 1000 | 5 0 0 |
| 36.0 | 504 | 3 2 1 |
| 51.8 | 357 | 6 0 2 |
| 61.6 | 422 | 8 2 1 |
| 64.7 | 122 | 10 0 0 |
| 76.3 | 57 | 6 4 2 |
| 84.6 | 146 | 9 4 -2 |
| 84.6 | 29 | 0 2 5 |
| 87.3 | 137 | 10 4 0 |
| 87.4 | 27 | 5 2 -5 |

Structural model:
Cell lengths 14.5587, 7.0658, 6.1141 Å; angles 90.00, 98.02, 90.00 degrees
Space group P2_1/c (No. 14)
Inequivalent atoms, fractional coordinates:
Dy: 0.1988 0.1254 0.1487 (multiplicity 4)
Y: 0.1992 0.6249 0.1500 (multiplicity 4)
Y: 0.4001 0.1249 0.5504 (multiplicity 4)
Tm: 0.0002 0.1249 0.7510 (multiplicity 4)
Tm: 0.4001 0.6251 0.5502 (multiplicity 4)

=====

Calculated powder diffractogram
Compound: DyY3Tm5
Radiation: Cu Ka
Structure: a PBE-relaxed structure
Peak positions follow from Bragg's law for the DFT cell and can differ from measured ones.

Peak list (12 most intense, 2θ from 15° to 90°, low angle first)
| two_theta | Rel. int. | hkl |
| --- | --- | --- |
| 18.5 | 118 | 0 3 1 |
| 25.5 | 197 | 2 0 0 |
| 31.7 | 778 | 2 3 1 |
| 32.3 | 1000 | 0 6 0 |
| 41.6 | 329 | 2 6 0 |
| 45.9 | 277 | 2 6 2 |
| 57.2 | 285 | 2 9 1 |
| 57.6 | 190 | 0 9 3 |
| 62.9 | 293 | 4 6 0 |
| 67.6 | 116 | 0 12 0 |
| 76.5 | 119 | 2 12 2 |
| 81.6 | 140 | 4 9 3 |

Structural model:
Cell lengths 6.9792, 16.6471, 9.6015 Å; angles 90.00, 90.00, 90.00 degrees
Space group Imma (No. 74)
Inequivalent atoms, fractional coordinates:
Dy: 0.0000 0.2500 0.0742 (multiplicity 4)
Y: 0.2500 0.0821 0.2500 (multiplicity 8)
Y: 0.2500 0.2500 0.7500 (multiplicity 4)
Tm: 0.0000 0.0820 0.9150 (multiplicity 8)
Tm: 0.0000 0.0849 0.5816 (multiplicity 8)
Tm: 0.0000 0.2500 0.4072 (multiplicity 4)

=====

Calculated powder diffractogram
Compound: Dy3Y2Tm9
Radiation: Cu Ka
Structure: a PBE-relaxed structure
Peak positions follow from Bragg's law for the DFT cell and can differ from measured ones.

Peak list (12 most intense, 2θ from 15° to 90°, low angle first)
| two_theta | Rel. int. | hkl |
| --- | --- | --- |
| 31.5 | 280 | 0 1 3 |
| 31.6 | 414 | 0 0 3 |
| 31.8 | 1000 | 1 -2 1 |
| 32.1 | 365 | 2 1 -1 |
| 32.4 | 551 | 1 3 1 |
| 33.4 | 475 | -1 2 2 |
| 34.2 | 304 | 1 2 -2 |
| 35.0 | 436 | 2 1 2 |
| 49.1 | 201 | 3 -1 0 |
| 53.2 | 174 | 2 0 -4 |
| 55.3 | 161 | 0 5 0 |
| 62.9 | 179 | -3 2 3 |

Structural model:
Cell lengths 6.1423, 8.6402, 8.6435 Å; angles 79.40, 86.88, 77.53 degrees
Space group P-1 (No. 2)
Inequivalent atoms, fractional coordinates:
Dy: 0.0000 0.0000 0.0000 (multiplicity 1)
Dy: 0.2541 0.2728 0.3830 (multiplicity 2)
Y: 0.4541 0.7032 0.9693 (multiplicity 2)
Tm: 0.0000 0.5000 0.0000 (multiplicity 1)
Tm: 0.0917 0.6945 0.3140 (multiplicity 2)
Tm: 0.1877 0.8966 0.6174 (multiplicity 2)
Tm: 0.3455 0.4936 0.6673 (multiplicity 2)
Tm: 0.4888 0.9164 0.2527 (multiplicity 2)